Record 1
Li4MgNi3O8: theoretical powder diffraction line list (a wavelength of 1.5418 Å), based on a DFT-relaxed cell (PBE+U, Alexandria).

Atomic structure:
Cell lengths 5.8002, 5.7658, 10.0472 Å; angles 90.00, 124.62, 90.00 degrees
Atoms (fractional coordinates):
1 Li 0.0000 0.0000 0.0000
2 Li 0.0000 0.0000 0.5000
3 Li 0.0000 0.2457 0.2500
4 Li 0.0000 0.2500 0.7500
5 Li 0.0000 0.5000 0.0000
6 Li 0.0000 0.5000 0.5000
7 Li 0.0000 0.7500 0.2500
8 Li 0.0000 0.7543 0.7500
9 Mg 0.5000 0.2517 0.2500
10 Mg 0.5000 0.7483 0.7500
11 Ni 0.5000 0.0000 0.0000
12 Ni 0.5000 0.0000 0.5000
13 Ni 0.5000 0.2474 0.7500
14 Ni 0.5000 0.5000 0.0000
15 Ni 0.5000 0.5000 0.5000
16 Ni 0.5000 0.7526 0.2500
17 O 0.2564 0.2273 0.4954
18 O 0.2564 0.7727 0.9954
19 O 0.2812 0.4850 0.7641
20 O 0.2812 0.5150 0.2641
21 O 0.2825 0.2477 0.0022
22 O 0.2825 0.7523 0.5022
23 O 0.2861 0.0115 0.7703
24 O 0.2861 0.9885 0.2703
25 O 0.7139 0.0115 0.7297
26 O 0.7139 0.9885 0.2297
27 O 0.7175 0.2477 0.4978
28 O 0.7175 0.7523 0.9978
29 O 0.7188 0.4850 0.7359
30 O 0.7188 0.5150 0.2359
31 O 0.7436 0.2273 0.0046
32 O 0.7436 0.7727 0.5046

Most intense lines, 10 to 80 degrees two-theta, sorted by position:
d/Å  2θ (°)  I/Imax
4.773  18.59  100
2.479  36.24  14
2.461  36.51  26
2.067  43.79  27
2.045  44.30  52
1.448  64.34  14

---

Record 2
Li4MgNi3O8: theoretical powder diffraction line list (a wavelength of 1.5418 Å), based on a DFT-relaxed cell (PBE+U, Alexandria).

Atomic structure:
Cell lengths 5.8378, 5.8378, 5.8378 Å; angles 59.46, 59.46, 59.46 degrees
Atoms (fractional coordinates):
1 Li 0.0000 0.0000 0.0000
2 Li 0.0000 0.5000 0.5000
3 Li 0.5000 0.0000 0.5000
4 Li 0.5000 0.5000 0.0000
5 Mg 0.5000 0.5000 0.5000
6 Ni 0.0000 0.0000 0.5000
7 Ni 0.0000 0.5000 0.0000
8 Ni 0.5000 0.0000 0.0000
9 O 0.2221 0.7481 0.7481
10 O 0.2479 0.2479 0.2479
11 O 0.2519 0.2519 0.7779
12 O 0.2519 0.7779 0.2519
13 O 0.7481 0.2221 0.7481
14 O 0.7481 0.7481 0.2221
15 O 0.7521 0.7521 0.7521
16 O 0.7779 0.2519 0.2519

Most intense lines, 10 to 80 degrees two-theta, sorted by position:
d/Å  2θ (°)  I/Imax
4.786  18.54  100
2.470  36.38  40
2.055  44.06  80
1.459  63.78  21
1.447  64.36  22
1.385  67.62  15

---

Record 3
Li4MgNi3O8: theoretical powder diffraction line list (a wavelength of 1.5418 Å), based on a DFT-relaxed cell (PBE+U, Alexandria).

Atomic structure:
Cell lengths 5.8404, 5.8404, 10.0450 Å; angles 107.30, 107.30, 59.22 degrees
Atoms (fractional coordinates):
1 Li 0.0000 0.5000 0.0000
2 Li 0.0000 0.5000 0.5000
3 Li 0.2357 0.2614 0.2560
4 Li 0.2614 0.2357 0.7560
5 Li 0.5000 0.0000 0.0000
6 Li 0.5000 0.0000 0.5000
7 Li 0.7386 0.7643 0.2440
8 Li 0.7643 0.7386 0.7440
9 Mg 0.2472 0.7528 0.2500
10 Mg 0.7528 0.2472 0.7500
11 Ni 0.0000 0.0000 0.0000
12 Ni 0.0000 0.0000 0.5000
13 Ni 0.2554 0.7446 0.7500
14 Ni 0.5000 0.5000 0.0000
15 Ni 0.5000 0.5000 0.5000
16 Ni 0.7446 0.2554 0.2500
17 O 0.0901 0.1251 0.3742
18 O 0.1251 0.0901 0.8742
19 O 0.1440 0.6382 0.3886
20 O 0.1519 0.6036 0.8822
21 O 0.3618 0.8560 0.1114
22 O 0.3828 0.4014 0.6223
23 O 0.3964 0.8481 0.6178
24 O 0.4014 0.3828 0.1223
25 O 0.5986 0.6172 0.8777
26 O 0.6036 0.1519 0.3822
27 O 0.6172 0.5986 0.3777
28 O 0.6382 0.1440 0.8886
29 O 0.8481 0.3964 0.1178
30 O 0.8560 0.3618 0.6114
31 O 0.8749 0.9099 0.1258
32 O 0.9099 0.8749 0.6258

Most intense lines, 10 to 80 degrees two-theta, sorted by position:
d/Å  2θ (°)  I/Imax
4.771  18.60  100
2.479  36.24  14
2.462  36.50  26
2.068  43.77  27
2.044  44.31  52
1.448  64.33  21

---

Record 4
Li3MgNi3O8: theoretical powder diffraction line list (a wavelength of 1.5418 Å), based on a DFT-relaxed cell (PBE+U, Alexandria).

Atomic structure:
Cell lengths 4.9595, 5.1648, 5.8151 Å; angles 87.49, 89.75, 71.46 degrees
Atoms (fractional coordinates):
1 Li 0.0000 0.0000 0.0000
2 Li 0.0998 0.9981 0.4653
3 Li 0.5101 0.0175 0.7729
4 Mg 0.0243 0.5123 0.7457
5 Ni 0.0272 0.5017 0.2421
6 Ni 0.5242 0.5133 0.9986
7 Ni 0.5289 0.4941 0.4964
8 O 0.2688 0.3055 0.0205
9 O 0.2810 0.2837 0.5113
10 O 0.2911 0.7458 0.7640
11 O 0.2918 0.7072 0.2412
12 O 0.7355 0.2939 0.7663
13 O 0.7665 0.7258 0.9860
14 O 0.7802 0.2864 0.2286
15 O 0.7896 0.6972 0.4653

Most intense lines, 10 to 80 degrees two-theta, sorted by position:
d/Å  2θ (°)  I/Imax
4.892  18.13  100
2.460  36.53  13
2.445  36.76  15
2.106  42.94  22
2.052  44.13  20
2.037  44.48  21